(1)
Diffraction record for La5Mg2Mn3O15. The powder diffractogram is theoretical, not measured: it uses a GGA+U-relaxed structure and Cu Kα (weighted mean of Kα1 and Kα2).
Neutral-atom scattering factors, no anomalous dispersion.

```
data_La5Mg2Mn3O15
_symmetry_space_group_name_H-M 'P -1'
_symmetry_Int_Tables_number 2
_symmetry_space_group_name_Hall '-P 1'
_cell_length_a 7.856
_cell_length_b 9.499
_cell_length_c 9.648
_cell_angle_alpha 81.34
_cell_angle_beta 66.33
_cell_angle_gamma 66.77
loop_
_atom_site_label
_atom_site_fract_x
_atom_site_fract_y
_atom_site_fract_z
La1 0.047 0.300 0.102
La2 0.150 0.899 0.302
La3 0.250 0.499 0.499
La4 0.347 0.102 0.699
La5 0.449 0.697 0.898
Mg1 0.100 0.600 0.200
Mg2 0.300 0.800 0.600
Mn1 0.000 0.000 0.000
Mn2 0.200 0.200 0.400
Mn3 0.400 0.400 0.800
Mn4 0.500 0.000 0.000
O1 0.006 0.181 0.877
O2 0.014 0.326 0.580
O3 0.027 0.789 0.641
O4 0.173 0.412 0.758
O5 0.184 0.874 0.821
O6 0.193 0.020 0.522
O7 0.207 0.380 0.277
O8 0.216 0.525 0.979
O9 0.232 0.988 0.043
O10 0.375 0.610 0.158
O11 0.386 0.074 0.221
O12 0.392 0.220 0.923
O13 0.407 0.582 0.677
O14 0.416 0.726 0.379
O15 0.426 0.188 0.442
```

The 10 most intense peaks (2θ = 5–70°), in order of rising 2θ:
22.64°, d 3.927, I 53
31.98°, d 2.799, I 97
32.49°, d 2.756, I 100
39.54°, d 2.279, I 23
46.23°, d 1.964, I 61
51.73°, d 1.767, I 14
56.99°, d 1.616, I 16
57.32°, d 1.607, I 41
58.29°, d 1.583, I 19
66.86°, d 1.399, I 16

(2)
Diffraction record for La4MgMnO8. The powder diffractogram is theoretical, not measured: it uses a GGA+U-relaxed structure and Cu Kα (weighted mean of Kα1 and Kα2).
Neutral-atom scattering factors, no anomalous dispersion.

```
data_La4MgMnO8
_symmetry_space_group_name_H-M 'C m m m'
_symmetry_Int_Tables_number 65
_symmetry_space_group_name_Hall '-C 2 2'
_cell_length_a 5.655
_cell_length_b 12.566
_cell_length_c 5.657
_cell_angle_alpha 90.00
_cell_angle_beta 90.00
_cell_angle_gamma 90.00
loop_
_atom_site_label
_atom_site_fract_x
_atom_site_fract_y
_atom_site_fract_z
La1 0.000 0.137 0.000
La2 0.000 0.362 0.500
Mg1 0.000 0.000 0.500
Mn1 0.000 0.500 0.000
O1 0.000 0.181 0.500
O2 0.000 0.317 0.000
O3 0.245 0.000 0.256
```

The 10 most intense peaks (2θ = 5–70°), in order of rising 2θ:
23.34°, d 3.811, I 52
28.41°, d 3.141, I 19
30.91°, d 2.893, I 100
31.64°, d 2.828, I 81
42.48°, d 2.128, I 22
43.03°, d 2.102, I 46
45.35°, d 2.000, I 42
54.39°, d 1.687, I 14
55.89°, d 1.645, I 39
56.16°, d 1.638, I 17

(3)
Diffraction record for SrLaMgMnRuO6. The powder diffractogram is theoretical, not measured: it uses a GGA+U-relaxed structure and Cu Kα (weighted mean of Kα1 and Kα2).
Neutral-atom scattering factors, no anomalous dispersion.

```
data_SrLaMgMnRuO6
_symmetry_space_group_name_H-M 'P 1'
_symmetry_Int_Tables_number 1
_symmetry_space_group_name_Hall 'P 1'
_cell_length_a 5.559
_cell_length_b 5.706
_cell_length_c 6.376
_cell_angle_alpha 64.28
_cell_angle_beta 67.08
_cell_angle_gamma 60.90
loop_
_atom_site_label
_atom_site_fract_x
_atom_site_fract_y
_atom_site_fract_z
Sr1 0.000 0.000 0.000
La1 0.653 0.636 0.055
Mg1 0.445 0.454 0.619
Mn1 0.206 0.181 0.438
Ru1 0.824 0.815 0.537
O1 0.067 0.720 0.766
O2 0.221 0.584 0.341
O3 0.440 0.056 0.730
O4 0.591 0.879 0.310
O5 0.742 0.445 0.741
O6 0.879 0.200 0.332
```

The 10 most intense peaks (2θ = 5–70°), in order of rising 2θ:
18.72°, d 4.740, I 66
19.23°, d 4.617, I 38
31.37°, d 2.851, I 100
31.85°, d 2.810, I 61
31.99°, d 2.798, I 25
32.25°, d 2.776, I 44
33.31°, d 2.690, I 29
44.31°, d 2.044, I 25
44.81°, d 2.023, I 31
56.96°, d 1.617, I 31

Copy entry 2 word for word.
Diffraction record for La4MgMnO8. The powder diffractogram is theoretical, not measured: it uses a GGA+U-relaxed structure and Cu Kα (weighted mean of Kα1 and Kα2).
Neutral-atom scattering factors, no anomalous dispersion.

```
data_La4MgMnO8
_symmetry_space_group_name_H-M 'C m m m'
_symmetry_Int_Tables_number 65
_symmetry_space_group_name_Hall '-C 2 2'
_cell_length_a 5.655
_cell_length_b 12.566
_cell_length_c 5.657
_cell_angle_alpha 90.00
_cell_angle_beta 90.00
_cell_angle_gamma 90.00
loop_
_atom_site_label
_atom_site_fract_x
_atom_site_fract_y
_atom_site_fract_z
La1 0.000 0.137 0.000
La2 0.000 0.362 0.500
Mg1 0.000 0.000 0.500
Mn1 0.000 0.500 0.000
O1 0.000 0.181 0.500
O2 0.000 0.317 0.000
O3 0.245 0.000 0.256
```

The 10 most intense peaks (2θ = 5–70°), in order of rising 2θ:
23.34°, d 3.811, I 52
28.41°, d 3.141, I 19
30.91°, d 2.893, I 100
31.64°, d 2.828, I 81
42.48°, d 2.128, I 22
43.03°, d 2.102, I 46
45.35°, d 2.000, I 42
54.39°, d 1.687, I 14
55.89°, d 1.645, I 39
56.16°, d 1.638, I 17